The following is a simulated PXRD pattern of Cs3Mo2BrO7. It was derived from a DFT-relaxed cell (PBE+U, Alexandria), using Cu Ka.
Peak positions follow from Bragg's law for the DFT cell and can differ from measured ones.

Most intense lines, 5 to 70 degrees two-theta, in order of rising 2θ:
22.18°, rel. 25, hkl 1 0 3; 26.27°, rel. 67, hkl 1 0 4; 27.04°, rel. 100, hkl 1 1 0; 30.78°, rel. 10, hkl 1 0 5; 35.25°, rel. 18, hkl 2 0 3; 38.06°, rel. 17, hkl 2 0 4; 40.63°, rel. 11, hkl 1 0 7; 47.31°, rel. 21, hkl 2 1 4; 47.78°, rel. 20, hkl 3 0 0; 55.76°, rel. 17, hkl 2 2 0; 61.76°, rel. 16, hkl 1 1 10; 62.65°, rel. 11, hkl 3 1 4

Cell and atoms:
Lattice parameters (Å, degrees): 6.5943 6.5943 16.8726 90.00 90.00 120.00
Fractional coordinates of all 26 atoms:
Cs  0.3333  0.6667  0.0432
Cs  0.3333  0.6667  0.4568
Cs  0.3333  0.6667  0.7500
Cs  0.6667  0.3333  0.2500
Cs  0.6667  0.3333  0.5432
Cs  0.6667  0.3333  0.9568
Mo  0.0000  0.0000  0.1362
Mo  0.0000  0.0000  0.3638
Mo  0.0000  0.0000  0.6362
Mo  0.0000  0.0000  0.8638
Br  0.3333  0.6667  0.2500
Br  0.6667  0.3333  0.7500
O  0.0000  0.0000  0.2500
O  0.0000  0.0000  0.7500
O  0.1449  0.2898  0.5993
O  0.1449  0.2898  0.9007
O  0.1449  0.8551  0.5993
O  0.1449  0.8551  0.9007
O  0.2898  0.1449  0.0993
O  0.2898  0.1449  0.4007
O  0.7102  0.8551  0.5993
O  0.7102  0.8551  0.9007
O  0.8551  0.1449  0.0993
O  0.8551  0.1449  0.4007
O  0.8551  0.7102  0.0993
O  0.8551  0.7102  0.4007